Starting from a structure optimized by DFT (PBE+U), the X-ray diffraction stick pattern of Ba6Na2Ta2Mn2O17 was simulated for λ = 1.5418 Å (Cu Kα).
Lines closer than 0.1° are merged.

Atomic structure:
a = 5.9792 Å, b = 5.9792 Å, c = 30.3866 Å
α = 90.00°, β = 90.00°, γ = 120.00°
Space group P6_3/mmc (No. 194)
Symmetry-distinct sites (fractional):
Ba 0.0000 0.0000 0.0000 (multiplicity 2)
Ba 0.0000 0.0000 0.2500 (multiplicity 2)
Ba 0.3333 0.6667 0.0896 (multiplicity 4)
Ba 0.3333 0.6667 0.6804 (multiplicity 4)
Na 0.0000 0.0000 0.1246 (multiplicity 4)
Ta 0.3333 0.6667 0.2015 (multiplicity 4)
Mn 0.3333 0.6667 0.5519 (multiplicity 4)
O 0.0311 0.5156 0.2500 (multiplicity 6)
O 0.1751 0.3503 0.1696 (multiplicity 12)
O 0.1773 0.3545 0.5720 (multiplicity 12)
O 0.3333 0.6667 0.0039 (multiplicity 4)

Peak list (8 most intense, 15 to 90 degrees two-theta, in order of rising 2θ)
17.4°, I = 18, (1 0 1)
29.2°, I = 48, (1 0 8)
29.9°, I = 100, (1 1 0)
42.2°, I = 27, (2 0 8)
42.4°, I = 18, (1 1 10)
52.6°, I = 17, (2 1 8)
53.1°, I = 20, (3 0 0)
62.1°, I = 18, (2 2 0)